Ba2SrI6: simulated powder diffractogram (Cu Kα (weighted mean of Kα1 and Kα2)), based on a DFT-relaxed cell (GGA-PBE, the Materials Project).

Atomic structure:
```
data_Ba2SrI6
_chemical_formula_sum 'Ba4 Sr2 I12'
_cell_length_a 8.016
_cell_length_b 9.160
_cell_length_c 13.847
_cell_angle_alpha 90.00
_cell_angle_beta 124.36
_cell_angle_gamma 90.00
_symmetry_space_group_name_H-M 'P 1 21/c 1'
_symmetry_Int_Tables_number 14
loop_
_symmetry_equiv_pos_as_xyz
'x,y,z'
'-x,-y,-z'
'-x,y+1/2,-z+1/2'
'x,-y+1/2,z+1/2'
loop_
_atom_site_label
_atom_site_type_symbol
_atom_site_fract_x
_atom_site_fract_y
_atom_site_fract_z
Ba1 Ba 0.220 0.109 0.256
Sr1 Sr 0.500 0.000 0.000
I1 I 0.096 0.177 0.930
I2 I 0.275 0.682 0.940
I3 I 0.367 0.044 0.733
```

Main lines, in order of rising 2θ (2θ from 5° to 70°):
| 2theta | Rel. int. | hkl |
| --- | --- | --- |
| 25.4 | 96.2 | 2 1 -1 |
| 26.1 | 73.8 | 1 0 -4 |
| 27.4 | 64.8 | 1 2 -3 |
| 27.5 | 66.4 | 1 1 2 |
| 30.5 | 77.9 | 0 2 3 |
| 31.3 | 100.0 | 1 3 -1 |